No. 1
For Ba8CuSi16, a crystal structure in the Materials Project, relaxed with GGA-PBE gives the calculated X-ray diffraction stick pattern in this record (Cu Kα (weighted mean of Kα1 and Kα2)).
Kinematic intensities with the Lorentz-polarization factor, no thermal factor.

```
data_Ba8CuSi16
_cell_length_a 7.0366
_cell_length_b 8.4249
_cell_length_c 12.3211
_cell_angle_alpha 86.21
_cell_angle_beta 86.37
_cell_angle_gamma 86.34
_symmetry_space_group_name_H-M 'P 1'
_symmetry_Int_Tables_number 1
loop_
_symmetry_equiv_pos_as_xyz
'x,y,z'
loop_
_atom_site_label
_atom_site_type_symbol
_atom_site_fract_x
_atom_site_fract_y
_atom_site_fract_z
Ba1 Ba 0.0000 0.0000 0.0000
Ba2 Ba 0.0025 0.1806 0.6307
Ba3 Ba 0.4647 0.8597 0.5100
Ba4 Ba 0.4908 0.1837 0.2226
Ba5 Ba 0.4982 0.3987 0.8527
Ba6 Ba 0.5076 0.6819 0.1334
Ba7 Ba 0.8966 0.6578 0.7066
Ba8 Ba 0.9561 0.5082 0.3527
Cu1 Cu 0.9829 0.2244 0.1941
Si1 Si 0.0133 0.3749 0.9019
Si2 Si 0.1750 0.3835 0.0680
Si3 Si 0.1977 0.8658 0.7539
Si4 Si 0.2865 0.4899 0.5678
Si5 Si 0.3580 0.0811 0.7926
Si6 Si 0.4603 0.5090 0.3942
Si7 Si 0.4666 0.2532 0.5011
Si8 Si 0.4789 0.7976 0.8541
Si9 Si 0.5041 0.0198 0.9672
Si10 Si 0.6263 0.4721 0.5598
Si11 Si 0.6917 0.0059 0.7947
Si12 Si 0.8089 0.3829 0.0640
Si13 Si 0.8337 0.8902 0.2803
Si14 Si 0.9514 0.1126 0.3652
Si15 Si 0.9849 0.8573 0.4469
Si16 Si 0.9887 0.6165 0.0047
```

Principal peaks in the range 10 to 80 degrees two-theta, by intensity:
two_theta	Rel. int.
25.41	100
24.53	93
25.86	59
24.95	47
37.52	36
26.58	33
31.73	31
18.43	29
26.47	28
32.38	27

=====

No. 2
For Ba8CuSi16, a crystal structure in the Materials Project, relaxed with GGA-PBE gives the calculated X-ray diffraction stick pattern in this record (Cu Kα (weighted mean of Kα1 and Kα2)).
Kinematic intensities with the Lorentz-polarization factor, no thermal factor.

```
data_Ba8CuSi16
_cell_length_a 7.2092
_cell_length_b 8.4337
_cell_length_c 12.1646
_cell_angle_alpha 88.75
_cell_angle_beta 88.31
_cell_angle_gamma 84.53
_symmetry_space_group_name_H-M 'P 1'
_symmetry_Int_Tables_number 1
loop_
_symmetry_equiv_pos_as_xyz
'x,y,z'
loop_
_atom_site_label
_atom_site_type_symbol
_atom_site_fract_x
_atom_site_fract_y
_atom_site_fract_z
Ba1 Ba 0.0000 0.0000 0.0000
Ba2 Ba 0.0069 0.5083 0.0819
Ba3 Ba 0.0296 0.7391 0.6940
Ba4 Ba 0.4119 0.9921 0.5574
Ba5 Ba 0.4476 0.8052 0.2091
Ba6 Ba 0.4782 0.3145 0.8822
Ba7 Ba 0.5047 0.4947 0.4893
Ba8 Ba 0.9595 0.1743 0.3615
Cu1 Cu 0.7662 0.5420 0.8120
Si1 Si 0.0081 0.1270 0.7137
Si2 Si 0.0202 0.3464 0.8399
Si3 Si 0.1287 0.7835 0.4210
Si4 Si 0.1970 0.3400 0.6626
Si5 Si 0.3108 0.1851 0.1426
Si6 Si 0.3227 0.6973 0.9336
Si7 Si 0.4284 0.4112 0.2102
Si8 Si 0.4539 0.9422 0.8750
Si9 Si 0.4653 0.1746 0.3134
Si10 Si 0.4934 0.7022 0.7616
Si11 Si 0.6522 0.7206 0.9484
Si12 Si 0.7287 0.1770 0.6092
Si13 Si 0.7926 0.8101 0.4283
Si14 Si 0.8699 0.3998 0.6528
Si15 Si 0.9543 0.8188 0.2557
Si16 Si 0.9670 0.5654 0.3598
```

Principal peaks in the range 10 to 80 degrees two-theta, by intensity:
two_theta	Rel. int.
24.84	100
25.55	78
24.94	63
26.63	54
30.41	29
31.47	23
24.42	18
26.04	18
35.11	17
34.14	17

=====

No. 3
For BaCu9Sn4, a crystal structure in the Materials Project, relaxed with GGA-PBE gives the calculated X-ray diffraction stick pattern in this record (Cu Kα (weighted mean of Kα1 and Kα2)).
Kinematic intensities with the Lorentz-polarization factor, no thermal factor.

```
data_BaCu9Sn4
_cell_length_a 8.8302
_cell_length_b 8.8302
_cell_length_c 8.8302
_cell_angle_alpha 120.73
_cell_angle_beta 120.73
_cell_angle_gamma 88.73
_symmetry_space_group_name_H-M 'P 1'
_symmetry_Int_Tables_number 1
loop_
_symmetry_equiv_pos_as_xyz
'x,y,z'
loop_
_atom_site_label
_atom_site_type_symbol
_atom_site_fract_x
_atom_site_fract_y
_atom_site_fract_z
Ba1 Ba 0.2500 0.2500 0.0000
Ba2 Ba 0.7500 0.7500 0.0000
Cu1 Cu 0.0000 0.5000 0.5000
Cu2 Cu 0.0561 0.7964 0.8525
Cu3 Cu 0.0654 0.5654 0.2828
Cu4 Cu 0.2036 0.0561 0.2597
Cu5 Cu 0.2174 0.9346 0.5000
Cu6 Cu 0.2826 0.7826 0.7172
Cu7 Cu 0.2964 0.5561 0.8525
Cu8 Cu 0.4346 0.7174 0.5000
Cu9 Cu 0.4439 0.2964 0.7403
Cu10 Cu 0.5000 0.0000 0.5000
Cu11 Cu 0.5561 0.7036 0.2597
Cu12 Cu 0.5654 0.2826 0.5000
Cu13 Cu 0.7036 0.4439 0.1475
Cu14 Cu 0.7174 0.2174 0.2828
Cu15 Cu 0.7826 0.0654 0.5000
Cu16 Cu 0.7964 0.9439 0.7403
Cu17 Cu 0.9346 0.4346 0.7172
Cu18 Cu 0.9439 0.2036 0.1475
Sn1 Sn 0.0593 0.1918 0.5000
Sn2 Sn 0.1918 0.6918 0.1325
Sn3 Sn 0.3082 0.4407 0.5000
Sn4 Sn 0.4407 0.9407 0.1325
Sn5 Sn 0.5593 0.0593 0.8675
Sn6 Sn 0.6918 0.5593 0.5000
Sn7 Sn 0.8082 0.3082 0.8675
Sn8 Sn 0.9407 0.8082 0.5000
```

Principal peaks in the range 10 to 80 degrees two-theta, by intensity:
two_theta	Rel. int.
43.32	100
35.08	82
35.48	73
43.09	72
42.64	66
31.84	32
32.42	29
44.00	26
32.28	25
68.31	23

=====

No. 4
For BaCuSn2, a crystal structure in the Materials Project, relaxed with GGA-PBE gives the calculated X-ray diffraction stick pattern in this record (Cu Kα (weighted mean of Kα1 and Kα2)).
Kinematic intensities with the Lorentz-polarization factor, no thermal factor.

```
data_BaCuSn2
_cell_length_a 4.8631
_cell_length_b 19.6208
_cell_length_c 4.6918
_cell_angle_alpha 90.00
_cell_angle_beta 90.00
_cell_angle_gamma 90.00
_symmetry_space_group_name_H-M 'P 1'
_symmetry_Int_Tables_number 1
loop_
_symmetry_equiv_pos_as_xyz
'x,y,z'
loop_
_atom_site_label
_atom_site_type_symbol
_atom_site_fract_x
_atom_site_fract_y
_atom_site_fract_z
Ba1 Ba 0.0000 0.1081 0.2500
Ba2 Ba 0.0000 0.8919 0.7500
Ba3 Ba 0.5000 0.3919 0.7500
Ba4 Ba 0.5000 0.6081 0.2500
Cu1 Cu 0.0000 0.3209 0.2500
Cu2 Cu 0.0000 0.6791 0.7500
Cu3 Cu 0.5000 0.1791 0.7500
Cu4 Cu 0.5000 0.8209 0.2500
Sn1 Sn 0.0000 0.2499 0.7500
Sn2 Sn 0.0000 0.4567 0.2500
Sn3 Sn 0.0000 0.5433 0.7500
Sn4 Sn 0.0000 0.7501 0.2500
Sn5 Sn 0.5000 0.0433 0.7500
Sn6 Sn 0.5000 0.2501 0.2500
Sn7 Sn 0.5000 0.7499 0.7500
Sn8 Sn 0.5000 0.9567 0.2500
```

Principal peaks in the range 10 to 80 degrees two-theta, by intensity:
two_theta	Rel. int.
29.78	100
36.97	29
38.37	26
33.40	26
29.24	23
54.34	19
50.67	16
62.23	13
41.89	13
64.15	12

=====

No. 5
For BaDy, a crystal structure in the Materials Project, relaxed with GGA-PBE gives the calculated X-ray diffraction stick pattern in this record (Cu Kα (weighted mean of Kα1 and Kα2)).
Kinematic intensities with the Lorentz-polarization factor, no thermal factor.

```
data_BaDy
_cell_length_a 3.8805
_cell_length_b 3.8805
_cell_length_c 6.4805
_cell_angle_alpha 90.00
_cell_angle_beta 90.00
_cell_angle_gamma 120.00
_symmetry_space_group_name_H-M 'P 1'
_symmetry_Int_Tables_number 1
loop_
_symmetry_equiv_pos_as_xyz
'x,y,z'
loop_
_atom_site_label
_atom_site_type_symbol
_atom_site_fract_x
_atom_site_fract_y
_atom_site_fract_z
Ba1 Ba 0.0000 0.0000 0.0000
Dy1 Dy 0.6667 0.3333 0.5000
```

Principal peaks in the range 10 to 80 degrees two-theta, by intensity:
two_theta	Rel. int.
29.95	100
27.53	28
55.18	24
50.21	24
26.52	23
46.82	19
38.60	17
56.58	17
76.41	14
76.62	9

=====

No. 6
For Ba3Dy, a crystal structure in the Materials Project, relaxed with GGA-PBE gives the calculated X-ray diffraction stick pattern in this record (Cu Kα (weighted mean of Kα1 and Kα2)).
Kinematic intensities with the Lorentz-polarization factor, no thermal factor.

```
data_Ba3Dy
_cell_length_a 8.4151
_cell_length_b 8.4151
_cell_length_c 6.7188
_cell_angle_alpha 90.00
_cell_angle_beta 90.00
_cell_angle_gamma 120.00
_symmetry_space_group_name_H-M 'P 1'
_symmetry_Int_Tables_number 1
loop_
_symmetry_equiv_pos_as_xyz
'x,y,z'
loop_
_atom_site_label
_atom_site_type_symbol
_atom_site_fract_x
_atom_site_fract_y
_atom_site_fract_z
Ba1 Ba 0.1725 0.3449 0.2500
Ba2 Ba 0.1725 0.8275 0.2500
Ba3 Ba 0.3449 0.1725 0.7500
Ba4 Ba 0.6551 0.8275 0.2500
Ba5 Ba 0.8275 0.1725 0.7500
Ba6 Ba 0.8275 0.6551 0.7500
Dy1 Dy 0.3333 0.6667 0.7500
Dy2 Dy 0.6667 0.3333 0.2500
```

Principal peaks in the range 10 to 80 degrees two-theta, by intensity:
two_theta	Rel. int.
27.85	100
26.53	25
51.24	24
24.43	23
47.66	23
42.99	20
52.01	17
36.37	16
69.69	14
71.93	9